This entry pairs a crystal structure of LiSb3P2O10 with its theoretical powder X-ray diffraction pattern. Radiation: Cu Kα (λ = 1.5418 Å). Structure: the GGA-PBE geometry in the Materials Project.
Intensities are scaled so that the largest is 100.

Crystal structure
abc: 5.2970 6.7065 6.9953
angles: 67.93 70.17 85.42
Positions (direct):
Li (0.0000, 0.0000, 0.0000)
Sb (0.3297, 0.0715, 0.3390)
Sb (0.5049, 0.3214, 0.7672)
Sb (0.8743, 0.4733, 0.0364)
P (0.2394, 0.5562, 0.3824)
P (0.6004, 0.8670, 0.7101)
O (0.0138, 0.4829, 0.3289)
O (0.1672, 0.4879, 0.6365)
O (0.1700, 0.2368, 0.0429)
O (0.3026, 0.8029, 0.2585)
O (0.3534, 0.9973, 0.7886)
O (0.5025, 0.4324, 0.3179)
O (0.5289, 0.6185, 0.8449)
O (0.6452, 0.9118, 0.4629)
O (0.6689, 0.2010, 0.0540)
O (0.8450, 0.9337, 0.7436)

Most intense lines, 10° ≤ 2θ ≤ 90°, in order of falling intensity:
28.73°, 3.107 Å, intensity 100, (1 0 2); 26.63°, 3.348 Å, intensity 71, (1 0 -1); 14.27°, 6.206 Å, intensity 65, (0 1 0); 30.56°, 2.925 Å, intensity 63, (1 2 1); 16.14°, 5.493 Å, intensity 44, (0 1 1); 27.00°, 3.303 Å, intensity 43, (0 2 1); 22.28°, 3.990 Å, intensity 42, (1 -1 0); 17.83°, 4.975 Å, intensity 34, (1 0 0); 34.06°, 2.632 Å, intensity 32, (2 0 1); 27.32°, 3.264 Å, intensity 30, (1 1 2)